The following is a computed powder diffractogram of Sr2ZrVO6. It was derived from a cell relaxed with GGA+U, using Cu Kα (λ = 1.5418 Å).

Structural model:
Lattice parameters (Å, degrees): 5.713 8.165 11.407 90.00 90.01 90.00
Element x y z (fractional)
1 Sr 0.000 0.249 0.000
2 Sr 0.000 0.751 0.000
3 Sr 0.001 0.249 0.500
4 Sr 0.001 0.751 0.500
5 Sr 0.499 0.251 0.749
6 Sr 0.499 0.749 0.749
7 Sr 0.502 0.250 0.249
8 Sr 0.502 0.750 0.249
9 Zr 0.002 0.000 0.249
10 Zr 0.498 0.500 0.000
11 Zr 0.502 0.500 0.500
12 Zr 0.999 0.000 0.749
13 V 0.003 0.500 0.250
14 V 0.498 0.000 0.999
15 V 0.503 0.000 0.499
16 V 0.997 0.500 0.750
17 O 0.010 0.256 0.250
18 O 0.010 0.744 0.250
19 O 0.216 0.500 0.123
20 O 0.221 0.500 0.871
21 O 0.239 0.000 0.883
22 O 0.244 0.000 0.617
23 O 0.256 0.500 0.632
24 O 0.269 0.500 0.363
25 O 0.276 0.000 0.123
26 O 0.280 0.000 0.378
27 O 0.490 0.244 0.000
28 O 0.490 0.756 0.000
29 O 0.510 0.244 0.500
30 O 0.510 0.756 0.500
31 O 0.721 0.000 0.878
32 O 0.723 0.000 0.624
33 O 0.737 0.500 0.135
34 O 0.739 0.500 0.867
35 O 0.756 0.000 0.117
36 O 0.762 0.000 0.383
37 O 0.777 0.500 0.626
38 O 0.787 0.500 0.374
39 O 0.990 0.256 0.750
40 O 0.990 0.744 0.750

Most intense lines, 2θ from 10° to 90°, sorted by position:
| index | d/Å | 2theta | I_rel |
| --- | --- | --- | --- |
| 1 2 2 | 2.870 | 31.2 | 100 |
| 2 0 0 | 2.854 | 31.3 | 50 |
| 0 2 4 | 2.339 | 38.5 | 11 |
| 0 4 0 | 2.041 | 44.4 | 19 |
| 2 0 4 | 2.018 | 44.9 | 36 |
| 2 4 0 | 1.660 | 55.3 | 20 |
| 3 2 2 | 1.651 | 55.7 | 39 |
| 2 4 4 | 1.435 | 65.0 | 22 |
| 1 6 2 | 1.289 | 73.4 | 8 |
| 4 0 4 | 1.278 | 74.2 | 12 |